Theoretical X-ray diffraction stick pattern of Dy3VH3O8 for Cu Kα (weighted mean of Kα1 and Kα2), from a crystal structure in Alexandria, relaxed with PBE+U.

Principal peaks in the range 5 to 70 degrees two-theta, most intense first:
d (Å)	I_rel	h k l
3.462	100	1 2 -1
2.920	97	1 2 1
4.825	49	1 1 0
2.875	42	1 0 -2
2.991	40	0 3 1
1.887	36	2 4 0
2.627	33	0 4 0
3.776	30	1 2 0
2.522	30	1 2 -2
2.716	26	2 0 0

Crystal structure
abc: 5.632 10.506 5.963
angles: 90.00 105.32 90.00
Element x y z (fractional)
Dy1 0.182 0.034 0.303
Dy2 0.182 0.466 0.303
Dy3 0.286 0.250 0.779
Dy4 0.714 0.750 0.221
Dy5 0.818 0.534 0.697
Dy6 0.818 0.966 0.697
V1 0.295 0.750 0.547
V2 0.705 0.250 0.453
H1 0.309 0.250 0.181
H2 0.333 0.554 0.916
H3 0.333 0.946 0.916
H4 0.667 0.054 0.084
H5 0.667 0.446 0.084
H6 0.691 0.750 0.819
O1 0.026 0.631 0.456
O2 0.026 0.869 0.456
O3 0.126 0.250 0.130
O4 0.228 0.017 0.937
O5 0.228 0.483 0.937
O6 0.406 0.750 0.848
O7 0.488 0.626 0.417
O8 0.488 0.874 0.417
O9 0.512 0.126 0.583
O10 0.512 0.374 0.583
O11 0.594 0.250 0.152
O12 0.772 0.517 0.063
O13 0.772 0.983 0.063
O14 0.874 0.750 0.870
O15 0.974 0.131 0.544
O16 0.974 0.369 0.544